Calculated PXRD pattern
Compound: Mg2InGaRh
Radiation: λ = 1.5418 Å (Cu Kα)
Structure: a cell relaxed with PBE
Intensities are scaled so that the largest is 100.

Structural model:
Unit cell a=7.1707 b=7.1707 c=7.1707 alpha=154.46 beta=142.40 gamma=46.01
Atoms (fractional coordinates):
Mg  0.0000  0.0000  0.0000
Mg  0.3446  0.3446  0.0000
In  0.5695  0.5695  0.0000
Ga  0.7782  0.7782  0.0000
Rh  0.1816  0.6816  0.5000

Most intense lines, 2θ = 15–90°, by angle:
| 2θ (°) | d/Å | I_rel |
| --- | --- | --- |
| 28.0 | 3.187 | 39 |
| 29.0 | 3.082 | 100 |
| 34.3 | 2.614 | 22 |
| 37.0 | 2.431 | 19 |
| 39.0 | 2.311 | 50 |
| 39.3 | 2.293 | 85 |
| 44.2 | 2.049 | 97 |
| 49.3 | 1.849 | 45 |
| 54.5 | 1.683 | 21 |
| 70.8 | 1.331 | 28 |
| 72.5 | 1.304 | 26 |
| 74.2 | 1.278 | 20 |

***

Calculated PXRD pattern
Compound: K4SbO5
Radiation: λ = 1.5418 Å (Cu Kα)
Structure: a cell relaxed with PBE
Intensities are scaled so that the largest is 100.

Structural model:
Unit cell a=6.4590 b=6.4590 c=6.4590 alpha=101.90 beta=101.90 gamma=125.98
Atoms (fractional coordinates):
K  0.0889  0.2938  0.3827
K  0.2938  0.9111  0.2049
K  0.7062  0.0889  0.7951
K  0.9111  0.7062  0.6173
Sb  0.5351  0.5351  0.0000
O  0.2321  0.5312  0.8429
O  0.3892  0.2321  0.7009
O  0.5312  0.6883  0.2991
O  0.6883  0.3892  0.1571
O  0.8634  0.8634  0.0000

Most intense lines, 2θ = 15–90°, by angle:
| 2θ (°) | d/Å | I_rel |
| --- | --- | --- |
| 15.4 | 5.754 | 45 |
| 18.6 | 4.759 | 48 |
| 21.8 | 4.069 | 14 |
| 28.9 | 3.093 | 100 |
| 30.5 | 2.933 | 40 |
| 34.9 | 2.573 | 56 |
| 47.0 | 1.935 | 37 |
| 50.1 | 1.820 | 18 |
| 53.2 | 1.723 | 23 |
| 58.9 | 1.568 | 29 |
| 59.8 | 1.546 | 16 |
| 76.1 | 1.251 | 14 |

***

What is the formula in the second record?
K4SbO5